No. 1
Th6PdI15: simulated X-ray powder pattern (Cu Ka), based on DFT lattice parameters and positions (PBE).
Lines closer than 0.1° are merged.

Structure:
```
data_Th6PdI15
_symmetry_space_group_name_H-M 'I m -3 m'
_symmetry_Int_Tables_number 229
_symmetry_space_group_name_Hall '-I 4 2 3'
_cell_length_a 12.448
_cell_length_b 12.448
_cell_length_c 12.448
_cell_angle_alpha 90.00
_cell_angle_beta 90.00
_cell_angle_gamma 90.00
loop_
_atom_site_label
_atom_site_type_symbol
_atom_site_fract_x
_atom_site_fract_y
_atom_site_fract_z
_atom_site_occupancy
Th1 Th 0.000 0.000 0.235 1
Pd1 Pd 0.000 0.000 0.000 1
I1 I 0.000 0.000 0.500 1
I2 I 0.000 0.252 0.252 1
```

Most intense lines, 2θ from 10° to 90°, low angle first:
hkl  2θ/deg  I (rel.)
1 1 0  10.05  48
2 1 1  17.45  15
3 2 1  26.80  26
4 0 0  28.69  100
3 3 2  33.77  13
4 4 0  41.01  75
4 4 4  50.82  26
8 0 0  59.40  12
8 4 0  67.27  33
8 4 4  74.72  24

=====

No. 2
Tl4PdI8: simulated X-ray powder pattern (Cu Ka), based on DFT lattice parameters and positions (PBE).
Lines closer than 0.1° are merged.

Structure:
```
data_Tl4PdI8
_symmetry_space_group_name_H-M 'I 4/m m m'
_symmetry_Int_Tables_number 139
_symmetry_space_group_name_Hall '-I 4 2'
_cell_length_a 11.360
_cell_length_b 11.360
_cell_length_c 8.529
_cell_angle_alpha 90.00
_cell_angle_beta 90.00
_cell_angle_gamma 90.00
loop_
_atom_site_label
_atom_site_type_symbol
_atom_site_fract_x
_atom_site_fract_y
_atom_site_fract_z
_atom_site_occupancy
Tl1 Tl 0.250 0.250 0.250 1
Pd1 Pd 0.000 0.000 0.000 1
I1 I 0.000 0.231 0.000 1
I2 I 0.000 0.261 0.500 1
```

Most intense lines, 2θ from 10° to 90°, low angle first:
hkl  2θ/deg  I (rel.)
2 0 0  15.60  40
2 0 2  26.13  44
2 2 2  30.58  100
4 0 0  31.50  58
4 2 2  41.37  24
0 0 4  42.39  13
4 4 0  45.15  21
4 0 4  53.76  26
6 2 2  55.51  34
4 4 4  63.65  15

=====

No. 3
ZnPdI4: simulated X-ray powder pattern (Cu Ka), based on DFT lattice parameters and positions (PBE).
Lines closer than 0.1° are merged.

Structure:
```
data_ZnPdI4
_symmetry_space_group_name_H-M 'P 42/m m c'
_symmetry_Int_Tables_number 131
_symmetry_space_group_name_Hall '-P 4c 2'
_cell_length_a 7.807
_cell_length_b 7.807
_cell_length_c 10.022
_cell_angle_alpha 90.00
_cell_angle_beta 90.00
_cell_angle_gamma 90.00
loop_
_atom_site_label
_atom_site_type_symbol
_atom_site_fract_x
_atom_site_fract_y
_atom_site_fract_z
_atom_site_occupancy
Zn1 Zn 0.000 0.000 0.000 1
Pd1 Pd 0.000 0.500 0.000 1
I1 I 0.233 0.257 0.000 1
```

Most intense lines, 2θ from 10° to 90°, low angle first:
hkl  2θ/deg  I (rel.)
1 0 1  14.38  30
0 0 2  17.70  100
2 0 0  22.78  23
2 0 2  29.01  31
2 2 0  32.44  42
0 0 4  35.84  17
2 2 2  37.19  60
4 0 0  46.53  15
2 2 4  49.11  26
4 0 2  50.17  29

=====

No. 4
Pm2I5: simulated X-ray powder pattern (Cu Ka), based on DFT lattice parameters and positions (PBE).
Lines closer than 0.1° are merged.

Structure:
```
data_Pm2I5
_symmetry_space_group_name_H-M 'C 1 2/c 1'
_symmetry_Int_Tables_number 15
_cell_length_a 18.410
_cell_length_b 7.397
_cell_length_c 7.935
_cell_angle_alpha 90.00
_cell_angle_beta 98.05
_cell_angle_gamma 90.00
loop_
_symmetry_equiv_pos_as_xyz
'x,y,z'
'-x,-y,-z'
'-x,y,-z+1/2'
'x,-y,z+1/2'
'x+1/2,y+1/2,z'
'-x+1/2,-y+1/2,-z'
'-x+1/2,y+1/2,-z+1/2'
'x+1/2,-y+1/2,z+1/2'
loop_
_atom_site_label
_atom_site_type_symbol
_atom_site_fract_x
_atom_site_fract_y
_atom_site_fract_z
_atom_site_occupancy
Pm1 Pm 0.120 0.209 0.093 1
I1 I 0.000 0.058 0.750 1
I2 I 0.093 0.411 0.423 1
I3 I 0.214 0.102 0.804 1
```

Most intense lines, 2θ from 10° to 90°, low angle first:
hkl  2θ/deg  I (rel.)
1 1 1  17.61  79
0 2 1  26.64  60
5 1 0  27.27  100
4 0 -2  27.84  80
3 1 -2  27.99  45
2 2 1  28.97  77
5 1 1  30.91  91
3 1 2  31.19  76
6 0 -2  34.70  44
1 1 -3  36.06  70

=====

No. 5
PmI2: simulated X-ray powder pattern (Cu Ka), based on DFT lattice parameters and positions (PBE).
Lines closer than 0.1° are merged.

Structure:
```
data_PmI2
_symmetry_space_group_name_H-M 'C m c e'
_symmetry_Int_Tables_number 64
_symmetry_space_group_name_Hall '-C 2ac 2'
_cell_length_a 4.212
_cell_length_b 7.285
_cell_length_c 16.301
_cell_angle_alpha 90.00
_cell_angle_beta 90.00
_cell_angle_gamma 90.00
loop_
_atom_site_label
_atom_site_type_symbol
_atom_site_fract_x
_atom_site_fract_y
_atom_site_fract_z
_atom_site_occupancy
Pm1 Pm 0.000 0.000 0.000 1
I1 I 0.000 0.166 0.375 1
```

Most intense lines, 2θ from 10° to 90°, low angle first:
hkl  2θ/deg  I (rel.)
0 0 2  10.85  75
0 2 1  25.04  31
1 1 2  26.79  100
1 1 3  29.50  91
0 2 4  32.98  42
1 1 5  36.99  50
1 1 6  41.45  31
1 3 1  43.37  49
0 4 4  55.21  28
1 3 9  68.33  25

=====

No. 6
PmI2: simulated X-ray powder pattern (Cu Ka), based on DFT lattice parameters and positions (PBE).
Lines closer than 0.1° are merged.

Structure:
```
data_PmI2
_symmetry_space_group_name_H-M 'C 2 2 21'
_symmetry_Int_Tables_number 20
_cell_length_a 4.197
_cell_length_b 7.269
_cell_length_c 33.412
_cell_angle_alpha 90.00
_cell_angle_beta 90.00
_cell_angle_gamma 90.00
loop_
_symmetry_equiv_pos_as_xyz
'x,y,z'
'-x,-y,z+1/2'
'x,-y,-z'
'-x,y,-z+1/2'
'x+1/2,y+1/2,z'
'-x+1/2,-y+1/2,z+1/2'
'x+1/2,-y+1/2,-z'
'-x+1/2,y+1/2,-z+1/2'
loop_
_atom_site_label
_atom_site_type_symbol
_atom_site_fract_x
_atom_site_fract_y
_atom_site_fract_z
_atom_site_occupancy
Pm1 Pm 0.243 0.001 0.123 1
I1 I 0.243 0.332 0.815 1
I2 I 0.243 0.332 0.938 1
```

Most intense lines, 2θ from 10° to 90°, low angle first:
hkl  2θ/deg  I (rel.)
0 0 4  10.59  100
0 2 1  24.64  27
1 1 2  25.07  60
1 1 5  27.94  41
1 1 6  29.34  38
1 1 7  30.92  58
0 2 8  32.66  48
1 1 9  34.53  53
2 0 0  43.16  70
2 2 8  55.11  31

=====

No. 7
PmI4: simulated X-ray powder pattern (Cu Ka), based on DFT lattice parameters and positions (PBE).
Lines closer than 0.1° are merged.

Structure:
```
data_PmI4
_symmetry_space_group_name_H-M 'C 1 2/m 1'
_symmetry_Int_Tables_number 12
_cell_length_a 8.014
_cell_length_b 13.816
_cell_length_c 11.358
_cell_angle_alpha 90.00
_cell_angle_beta 90.13
_cell_angle_gamma 90.00
loop_
_symmetry_equiv_pos_as_xyz
'x,y,z'
'-x,-y,-z'
'-x,y,-z'
'x,-y,z'
'x+1/2,y+1/2,z'
'-x+1/2,-y+1/2,-z'
'-x+1/2,y+1/2,-z'
'x+1/2,-y+1/2,z'
loop_
_atom_site_label
_atom_site_type_symbol
_atom_site_fract_x
_atom_site_fract_y
_atom_site_fract_z
_atom_site_occupancy
Pm1 Pm 0.000 0.171 0.000 1
I1 I 0.110 0.500 0.592 1
I2 I 0.128 0.000 0.159 1
I3 I 0.186 0.316 0.161 1
```

Most intense lines, 2θ from 10° to 90°, low angle first:
hkl  2θ/deg  I (rel.)
1 1 -1  14.98  100
2 0 -1  23.52  19
1 3 -1  23.62  60
2 0 -2  27.21  47
1 3 2  27.32  48
2 0 3  32.56  23
1 3 3  32.61  29
1 3 -4  38.90  28
3 3 1  39.82  22
1 3 -5  45.95  21

=====

No. 8
PmI: simulated X-ray powder pattern (Cu Ka), based on DFT lattice parameters and positions (PBE).
Lines closer than 0.1° are merged.

Structure:
```
data_PmI
_symmetry_space_group_name_H-M 'P m m n'
_symmetry_Int_Tables_number 59
_cell_length_a 3.859
_cell_length_b 6.074
_cell_length_c 5.356
_cell_angle_alpha 90.00
_cell_angle_beta 90.00
_cell_angle_gamma 90.00
loop_
_symmetry_equiv_pos_as_xyz
'x,y,z'
'-x,-y,-z'
'-x+1/2,-y+1/2,z'
'x+1/2,y+1/2,-z'
'x+1/2,-y,-z'
'-x+1/2,y,z'
'-x,y+1/2,-z'
'x,-y+1/2,z'
loop_
_atom_site_label
_atom_site_type_symbol
_atom_site_fract_x
_atom_site_fract_y
_atom_site_fract_z
_atom_site_occupancy
Pm1 Pm 0.250 0.250 0.151 1
I1 I 0.250 0.750 0.338 1
```

Most intense lines, 2θ from 10° to 90°, low angle first:
hkl  2θ/deg  I (rel.)
1 0 1  28.51  100
0 2 0  29.41  67
1 1 1  32.16  66
0 1 2  36.68  63
1 2 1  41.42  72
2 0 0  47.10  18
2 2 0  56.51  21
0 3 2  57.03  17
1 1 3  59.00  38
2 1 2  61.14  28

=====

No. 9
Pm2PrI6: simulated X-ray powder pattern (Cu Ka), based on DFT lattice parameters and positions (PBE).
Lines closer than 0.1° are merged.

Structure:
```
data_Pm2PrI6
_symmetry_space_group_name_H-M 'R 3'
_symmetry_Int_Tables_number 146
_symmetry_space_group_name_Hall 'R 3'
_cell_length_a 7.6533
_cell_length_b 7.6533
_cell_length_c 22.4525
_cell_angle_alpha 90.00
_cell_angle_beta 90.00
_cell_angle_gamma 120.00
loop_
_atom_site_label
_atom_site_type_symbol
_atom_site_fract_x
_atom_site_fract_y
_atom_site_fract_z
_atom_site_occupancy
Pm1 Pm 0.0000 0.0000 0.0000 1
Pm2 Pm 0.0000 0.0000 0.3356 1
Pr1 Pr 0.0000 0.0000 0.4960 1
I1 I 0.0012 0.6560 0.5806 1
I2 I 0.0050 0.3265 0.7494 1
```

Most intense lines, 2θ from 10° to 90°, low angle first:
hkl  2θ/deg  I (rel.)
0 1 2  15.53  23
2 -1 3  26.15  100
1 1 6  33.49  76
3 0 0  40.84  47
1 1 9  43.29  25
2 2 3  49.15  17
4 -2 6  53.82  20
3 0 12  65.36  24
5 -1 3  65.76  14
4 1 6  69.69  19

=====

No. 10
Pm2PrI6: simulated X-ray powder pattern (Cu Ka), based on DFT lattice parameters and positions (PBE).
Lines closer than 0.1° are merged.

Structure:
```
data_Pm2PrI6
_symmetry_space_group_name_H-M 'P -3 1 m'
_symmetry_Int_Tables_number 162
_symmetry_space_group_name_Hall '-P 3 2'
_cell_length_a 7.3294
_cell_length_b 7.3294
_cell_length_c 8.1782
_cell_angle_alpha 90.00
_cell_angle_beta 90.00
_cell_angle_gamma 120.00
loop_
_atom_site_label
_atom_site_type_symbol
_atom_site_fract_x
_atom_site_fract_y
_atom_site_fract_z
_atom_site_occupancy
Pm1 Pm 0.3333 0.6667 0.0000 1
Pr1 Pr 0.0000 0.0000 0.0000 1
I1 I 0.0000 0.3376 0.2495 1
```

Most intense lines, 2θ from 10° to 90°, low angle first:
hkl  2θ/deg  I (rel.)
0 0 1  10.82  41
2 -1 1  26.66  100
2 -1 2  32.82  65
1 1 3  41.28  31
3 0 0  42.74  32
0 0 4  44.26  18
2 2 1  51.08  16
2 2 2  54.91  18
3 0 4  63.25  20
5 -1 1  68.73  13

=====

No. 11
PmPrI5: simulated X-ray powder pattern (Cu Ka), based on DFT lattice parameters and positions (PBE).
Lines closer than 0.1° are merged.

Structure:
```
data_PmPrI5
_symmetry_space_group_name_H-M 'P 1 21/m 1'
_symmetry_Int_Tables_number 11
_cell_length_a 9.532
_cell_length_b 4.330
_cell_length_c 14.815
_cell_angle_alpha 90.00
_cell_angle_beta 94.54
_cell_angle_gamma 90.00
loop_
_symmetry_equiv_pos_as_xyz
'x,y,z'
'-x,-y,-z'
'-x,y+1/2,-z'
'x,-y+1/2,z'
loop_
_atom_site_label
_atom_site_type_symbol
_atom_site_fract_x
_atom_site_fract_y
_atom_site_fract_z
_atom_site_occupancy
Pm1 Pm 0.087 0.250 0.158 1
Pr1 Pr 0.395 0.750 0.349 1
I1 I 0.127 0.250 0.785 1
I2 I 0.151 0.250 0.375 1
I3 I 0.176 0.750 0.014 1
I4 I 0.369 0.750 0.574 1
I5 I 0.428 0.250 0.189 1
```

Most intense lines, 2θ from 10° to 90°, low angle first:
hkl  2θ/deg  I (rel.)
1 0 -1  10.67  100
1 1 2  25.98  40
2 0 3  27.09  33
2 1 0  27.88  38
2 1 -1  28.21  34
1 1 -3  28.55  31
2 1 -2  29.83  24
0 0 5  30.26  24
0 1 4  31.85  21
0 2 0  41.72  30

=====

No. 12
PmPrPtI: simulated X-ray powder pattern (Cu Ka), based on DFT lattice parameters and positions (PBE).
Lines closer than 0.1° are merged.

Structure:
```
data_PmPrPtI
_symmetry_space_group_name_H-M 'R 3 m'
_symmetry_Int_Tables_number 160
_symmetry_space_group_name_Hall 'R 3 -2"'
_cell_length_a 4.2707
_cell_length_b 4.2707
_cell_length_c 24.4537
_cell_angle_alpha 90.00
_cell_angle_beta 90.00
_cell_angle_gamma 120.00
loop_
_atom_site_label
_atom_site_type_symbol
_atom_site_fract_x
_atom_site_fract_y
_atom_site_fract_z
_atom_site_occupancy
Pm1 Pm 0.0000 0.0000 0.0000 1
Pr1 Pr 0.0000 0.0000 0.7905 1
Pt1 Pt 0.0000 0.0000 0.3939 1
I1 I 0.0000 0.0000 0.5645 1
```

Most intense lines, 2θ from 10° to 90°, low angle first:
hkl  2θ/deg  I (rel.)
0 0 3  10.85  36
0 1 2  25.16  26
0 1 5  30.30  100
1 0 7  35.34  18
1 1 0  42.33  47
1 0 10  44.42  25
2 0 5  52.93  21
1 0 13  54.72  16
0 2 10  63.04  15
1 2 5  70.00  18